(1)
Diffraction record for La2Zn4Ni. The powder X-ray diffraction pattern is simulated, not measured: it uses a cell relaxed with PBE and Cu Kα X-rays.

Structure:
```
data_La2Zn4Ni
_cell_length_a 8.4430
_cell_length_b 8.4430
_cell_length_c 8.4430
_cell_angle_alpha 148.50
_cell_angle_beta 148.50
_cell_angle_gamma 45.15
_symmetry_space_group_name_H-M 'P 1'
_symmetry_Int_Tables_number 1
loop_
_symmetry_equiv_pos_as_xyz
'x,y,z'
loop_
_atom_site_label
_atom_site_fract_x
_atom_site_fract_y
_atom_site_fract_z
La1 0.1470 0.1470 0.0000
La2 0.8530 0.8530 0.0000
Zn1 0.0000 0.5000 0.5000
Zn2 0.3484 0.3484 0.0000
Zn3 0.5000 0.0000 0.5000
Zn4 0.6516 0.6516 0.0000
Ni1 0.5000 0.5000 0.0000
```

Main lines, in order of rising 2θ (10° ≤ 2θ ≤ 90°):
d/Å  2θ (°)  intensity
3.438  25.92  443
3.241  27.52  656
2.993  29.85  369
2.599  34.51  444
2.492  36.04  1000
2.292  39.31  857
1.719  53.29  497
1.621  56.81  296

---

(2)
Diffraction record for La4Te3S. The powder X-ray diffraction pattern is simulated, not measured: it uses a cell relaxed with PBE and Cu Kα X-rays.

Structure:
```
data_La4Te3S
_cell_length_a 7.8022
_cell_length_b 7.8022
_cell_length_c 4.4396
_cell_angle_alpha 90.00
_cell_angle_beta 90.00
_cell_angle_gamma 109.01
_symmetry_space_group_name_H-M 'P 1'
_symmetry_Int_Tables_number 1
loop_
_symmetry_equiv_pos_as_xyz
'x,y,z'
loop_
_atom_site_label
_atom_site_fract_x
_atom_site_fract_y
_atom_site_fract_z
La1 0.2202 0.2202 0.5000
La2 0.2322 0.7678 0.0000
La3 0.7678 0.2322 0.0000
La4 0.7798 0.7798 0.5000
Te1 0.0000 0.5000 0.5000
Te2 0.5000 0.0000 0.5000
Te3 0.5000 0.5000 0.0000
S1 0.0000 0.0000 0.0000
```

Main lines, in order of rising 2θ (10° ≤ 2θ ≤ 90°):
d/Å  2θ (°)  intensity
3.173  28.13  1000
2.265  39.79  116
2.244  40.19  481
2.220  40.64  128
1.844  49.42  116
1.819  50.14  131
1.419  65.80  190
1.286  73.65  79

---

(3)
Diffraction record for KRbCo2Br8. The powder X-ray diffraction pattern is simulated, not measured: it uses a cell relaxed with PBE and Cu Kα X-rays.

Structure:
```
data_KRbCo2Br8
_cell_length_a 10.8754
_cell_length_b 10.8754
_cell_length_c 10.8754
_cell_angle_alpha 38.61
_cell_angle_beta 38.61
_cell_angle_gamma 38.61
_symmetry_space_group_name_H-M 'P 1'
_symmetry_Int_Tables_number 1
loop_
_symmetry_equiv_pos_as_xyz
'x,y,z'
loop_
_atom_site_label
_atom_site_fract_x
_atom_site_fract_y
_atom_site_fract_z
K1 0.0000 0.0000 0.0000
Rb1 0.5000 0.5000 0.5000
Co1 0.2426 0.2426 0.2426
Co2 0.7574 0.7574 0.7574
Br1 0.0622 0.4551 0.6793
Br2 0.1658 0.1658 0.1658
Br3 0.3207 0.9378 0.5449
Br4 0.4551 0.6793 0.0622
Br5 0.5449 0.3207 0.9378
Br6 0.6793 0.0622 0.4551
Br7 0.8342 0.8342 0.8342
Br8 0.9378 0.5449 0.3207
```

Main lines, in order of rising 2θ (10° ≤ 2θ ≤ 90°):
d/Å  2θ (°)  intensity
5.756  15.40  166
4.801  18.48  177
3.385  26.33  1000
3.351  26.60  249
2.924  30.57  548
2.076  43.60  322
2.060  43.96  287
1.755  52.13  178

---

(4)
Diffraction record for KMgTc4. The powder X-ray diffraction pattern is simulated, not measured: it uses a cell relaxed with PBE and Cu Kα X-rays.

Structure:
```
data_KMgTc4
_cell_length_a 5.3540
_cell_length_b 5.3540
_cell_length_c 5.3540
_cell_angle_alpha 60.00
_cell_angle_beta 60.00
_cell_angle_gamma 60.00
_symmetry_space_group_name_H-M 'P 1'
_symmetry_Int_Tables_number 1
loop_
_symmetry_equiv_pos_as_xyz
'x,y,z'
loop_
_atom_site_label
_atom_site_fract_x
_atom_site_fract_y
_atom_site_fract_z
K1 0.0000 0.0000 0.0000
Mg1 0.7500 0.7500 0.7500
Tc1 0.3750 0.3750 0.3750
Tc2 0.3750 0.3750 0.8750
Tc3 0.3750 0.8750 0.3750
Tc4 0.8750 0.3750 0.3750
```

Main lines, in order of rising 2θ (10° ≤ 2θ ≤ 90°):
d/Å  2θ (°)  intensity
4.372  20.31  730
2.283  39.47  1000
2.186  41.30  773
1.893  48.07  262
1.737  52.69  170
1.457  63.88  306
1.339  70.33  305
1.141  84.97  276